Entry 1:
Ho4ErIn4: theoretical powder XRD pattern (CuKα), based on a crystal structure in Alexandria, relaxed with GGA-PBE.
No peak broadening, texture or thermal motion is included.

Structure:
a = 7.136 Å, b = 7.136 Å, c = 10.595 Å
α = 90.00°, β = 90.00°, γ = 90.00°
Fractional positions:
Ho  0.023  0.250  0.168
Ho  0.250  0.023  0.668
Ho  0.250  0.477  0.668
Ho  0.477  0.250  0.168
Ho  0.523  0.750  0.832
Ho  0.750  0.523  0.332
Ho  0.750  0.977  0.332
Ho  0.977  0.750  0.832
Er  0.250  0.750  0.250
Er  0.750  0.250  0.750
In  0.027  0.250  0.468
In  0.250  0.027  0.968
In  0.250  0.473  0.968
In  0.473  0.250  0.468
In  0.527  0.750  0.532
In  0.750  0.527  0.032
In  0.750  0.973  0.032
In  0.973  0.750  0.532

Top 10 peaks for 10 to 90 degrees two-theta, in order of rising 2θ:
d_spacing  Rel. int.
4.254  17
3.056  94
2.523  40
2.510  100
2.483  27
2.038  14
1.784  24
1.585  19
1.454  30
1.447  16

***

Entry 2:
Ho3Er2In6: theoretical powder XRD pattern (CuKα), based on a crystal structure in Alexandria, relaxed with GGA-PBE.
No peak broadening, texture or thermal motion is included.

Structure:
a = 11.837 Å, b = 11.837 Å, c = 11.837 Å
α = 151.85°, β = 151.85°, γ = 40.23°
Fractional positions:
Ho  0.000  0.000  0.000
Ho  0.146  0.146  0.000
Ho  0.854  0.854  0.000
Er  0.423  0.423  0.000
Er  0.577  0.577  0.000
In  0.071  0.571  0.500
In  0.285  0.285  0.000
In  0.429  0.929  0.500
In  0.571  0.071  0.500
In  0.715  0.715  0.000
In  0.929  0.429  0.500

Top 10 peaks for 10 to 90 degrees two-theta, in order of rising 2θ:
d_spacing  Rel. int.
4.070  35
2.878  100
2.781  98
2.035  37
2.000  74
1.642  20
1.426  23
1.390  20
1.287  16
1.278  18

***

Entry 3:
HoErIn4: theoretical powder XRD pattern (CuKα), based on a crystal structure in Alexandria, relaxed with GGA-PBE.
No peak broadening, texture or thermal motion is included.

Structure:
a = 6.990 Å, b = 5.003 Å, c = 5.003 Å
α = 59.88°, β = 90.00°, γ = 90.00°
Fractional positions:
Ho  0.000  0.000  0.000
Er  0.500  0.000  0.000
In  0.237  0.666  0.666
In  0.266  0.333  0.333
In  0.734  0.333  0.333
In  0.763  0.666  0.666

Top 10 peaks for 10 to 90 degrees two-theta, in order of rising 2θ:
d_spacing  Rel. int.
2.720  100
2.500  81
1.840  32
1.747  8
1.483  21
1.481  10
1.442  9
1.432  25
1.135  9
1.112  8

***

Entry 4:
HoEr4In2: theoretical powder XRD pattern (CuKα), based on a crystal structure in Alexandria, relaxed with GGA-PBE.
No peak broadening, texture or thermal motion is included.

Structure:
a = 6.705 Å, b = 10.584 Å, c = 6.763 Å
α = 90.00°, β = 118.88°, γ = 90.00°
Fractional positions:
Ho  0.000  0.000  0.000
Ho  0.000  0.500  0.500
Er  0.077  0.169  0.534
Er  0.077  0.331  0.034
Er  0.402  0.741  0.454
Er  0.402  0.759  0.954
Er  0.598  0.241  0.046
Er  0.598  0.259  0.546
Er  0.923  0.669  0.966
Er  0.923  0.831  0.466
In  0.473  0.513  0.221
In  0.473  0.987  0.721
In  0.527  0.013  0.279
In  0.527  0.487  0.779

Top 10 peaks for 10 to 90 degrees two-theta, in order of rising 2θ:
d_spacing  Rel. int.
3.030  56
3.014  87
2.936  66
2.850  100
2.829  90
2.584  48
2.543  44
2.457  49
1.690  66
1.564  49